The following is a computed powder XRD pattern of Au. It was derived from a structure optimized by DFT (GGA-PBE), using CuKα.

Structure:
```
Au
1.0
1.7281 0.9977 3.7344
-1.7281 0.9977 3.7344
0.0000 -1.9954 3.7344
Au
2
Direct
0.2504 0.2504 0.2504 Au
0.7496 0.7496 0.7496 Au
```

Peak list (8 most intense, 2θ from 15° to 90°, in order of falling intensity)
two_theta, I_rel
34.0, 100
44.3, 48
74.9, 32
53.0, 29
64.4, 16
88.1, 15
48.8, 12
71.5, 12